Diffraction record for RbAlNiF6. The X-ray powder pattern is theoretical, not measured: it uses a cell relaxed with GGA+U and Cu Kα X-rays.
Peak positions follow from Bragg's law for the DFT cell and can differ from measured ones.

Cell and atoms:
```
data_RbAlNiF6
_cell_length_a 7.109
_cell_length_b 7.194
_cell_length_c 10.096
_cell_angle_alpha 90.00
_cell_angle_beta 90.00
_cell_angle_gamma 90.00
_space_group_name_H-M_alt 'I m m a'
_space_group_IT_number 74
_space_group_name_Hall '-I 2b 2'
loop_
_atom_site_label
_atom_site_type_symbol
_atom_site_fract_x
_atom_site_fract_y
_atom_site_fract_z
_atom_site_occupancy
Rb1 Rb 0.000 0.250 0.126 1
Al1 Al 0.250 0.250 0.750 1
Ni1 Ni 0.000 0.000 0.500 1
F1 F 0.000 0.250 0.414 1
F2 F 0.000 0.250 0.797 1
F3 F 0.212 0.070 0.627 1
```

Peak list (8 most intense, 5 to 70 degrees two-theta, in order of rising 2θ)
2θ (°)  I/Imax
24.92  28
29.20  66
29.36  100
30.52  19
46.51  18
46.77  16
46.90  18
51.14  43